For K3Ag6Sb5, a cell relaxed with PBE gives the calculated X-ray diffraction stick pattern in this record (a wavelength of 1.5418 Å).
Lines closer than 0.1° are merged.

Structure:
```
data_K3Ag6Sb5
_chemical_formula_sum 'K6 Ag12 Sb10'
_cell_length_a 4.6107
_cell_length_b 13.6576
_cell_length_c 12.1915
_cell_angle_alpha 90.00
_cell_angle_beta 90.00
_cell_angle_gamma 90.00
_symmetry_space_group_name_H-M 'P m m n'
_symmetry_Int_Tables_number 59
loop_
_symmetry_equiv_pos_as_xyz
'x,y,z'
'-x,-y,-z'
'-x+1/2,-y+1/2,z'
'x+1/2,y+1/2,-z'
'x+1/2,-y,-z'
'-x+1/2,y,z'
'-x,y+1/2,-z'
'x,-y+1/2,z'
loop_
_atom_site_label
_atom_site_fract_x
_atom_site_fract_y
_atom_site_fract_z
K1 0.2500 0.0975 0.2425
K2 0.2500 0.7500 0.2545
Ag1 0.2500 0.0646 0.8748
Ag2 0.2500 0.2500 0.5127
Ag3 0.2500 0.2500 0.9917
Ag4 0.2500 0.5804 0.4895
Sb1 0.2500 0.0752 0.6431
Sb2 0.2500 0.6226 0.9934
Sb3 0.2500 0.7500 0.6185
```

Principal peaks in the range 10 to 90 degrees two-theta, by angle:
h k l, d (Å), I_rel
0 0 2, 6.096, 67
1 0 1, 4.313, 22
0 3 1, 4.265, 18
1 0 3, 3.049, 28
0 3 3, 3.032, 19
1 3 2, 2.861, 100
2 0 0, 2.306, 58
0 6 0, 2.276, 27
1 3 4, 2.220, 84
1 0 5, 2.156, 20
2 6 0, 1.620, 18
3 3 4, 1.314, 15